# RbCaW2O8
Theoretical PXRD pattern, Cu Kα (weighted mean of Kα1 and Kα2). Input: a crystal structure in Alexandria, relaxed with GGA+U.
Lines closer than 0.1° are merged.

Largest 10 diffraction maxima, by intensity, 10° ≤ 2θ ≤ 80°:
2theta, d/Å, I/Imax, index
22.4, 3.968, 100, 2 0 0
29.9, 2.987, 80, 1 1 2
44.3, 2.045, 63, 3 1 2
16.8, 5.273, 46, 1 0 1
28.1, 3.171, 35, 2 1 1
31.9, 2.806, 25, 2 2 0
55.6, 1.653, 18, 3 3 2
65.6, 1.424, 17, 5 1 2
45.7, 1.984, 17, 4 0 0
51.5, 1.775, 16, 4 2 0

Cell and atoms:
Cell: 7.9360 7.9360 7.0552 Å, 90.00 90.00 90.00°
Space group I-4m2 (No. 119)
Symmetry-distinct sites (fractional):
Rb 0.0000 0.0000 0.0000 x2
Ca 0.0000 0.5000 0.7500 x2
W 0.0000 0.0000 0.5000 x2
W 0.0000 0.5000 0.2500 x2
O 0.0000 0.1908 0.6446 x8
O 0.0000 0.3256 0.0839 x8